No. 1
This entry pairs a crystal structure of CsHgCl3 with its calculated PXRD pattern. Radiation: Cu Kα. Structure: a crystal structure in OQMD, relaxed with PBE.
Lines closer than 0.1° are merged.

Principal peaks in the range 2θ = 10–80°, low angle first:
hkl 1 1 0, 2θ = 23.41°, intensity 100; hkl 2 0 2, 2θ = 33.35°, intensity 46; hkl 3 0 0, 2θ = 41.15°, intensity 47; hkl 2 2 0, 2θ = 47.89°, intensity 32; hkl 3 1 2, 2θ = 53.97°, intensity 22; hkl 4 1 0, 2θ = 64.94°, intensity 25

Structure:
```
data_CsHgCl3
_cell_length_a 7.5975
_cell_length_b 7.5975
_cell_length_c 9.3084
_cell_angle_alpha 90.00
_cell_angle_beta 90.00
_cell_angle_gamma 120.00
_space_group_name_H-M_alt 'R 3 m'
_space_group_IT_number 160
_space_group_name_Hall 'R 3 -2"'
loop_
_atom_site_label
_atom_site_fract_x
_atom_site_fract_y
_atom_site_fract_z
Cs1 0.0000 0.0000 0.0000
Hg1 0.0000 0.0000 0.4947
Cl1 0.0005 0.5003 0.9924
```


No. 2
This entry pairs a crystal structure of CsHgCl3 with its calculated PXRD pattern. Radiation: Cu Kα. Structure: a crystal structure in OQMD, relaxed with PBE.
Lines closer than 0.1° are merged.

Principal peaks in the range 2θ = 10–80°, low angle first:
hkl 3 0 0, 2θ = 22.88°, intensity 100; hkl 4 -2 2, 2θ = 32.58°, intensity 42; hkl 4 1 2, 2θ = 40.18°, intensity 48; hkl 6 0 0, 2θ = 46.74°, intensity 27; hkl 7 -5 2, 2θ = 52.65°, intensity 23; hkl 2 5 4, 2θ = 63.30°, intensity 27

Structure:
```
data_CsHgCl3
_cell_length_a 13.4605
_cell_length_b 13.4605
_cell_length_c 9.5286
_cell_angle_alpha 90.00
_cell_angle_beta 90.00
_cell_angle_gamma 120.00
_space_group_name_H-M_alt 'P 32'
_space_group_IT_number 145
_space_group_name_Hall 'P 32'
loop_
_atom_site_label
_atom_site_fract_x
_atom_site_fract_y
_atom_site_fract_z
Cs1 0.2133 0.7679 0.0000
Cs2 0.2276 0.1105 0.3147
Cs3 0.5487 0.4466 0.9736
Hg1 0.2198 0.4414 0.1485
Hg2 0.2257 0.1131 0.8166
Hg3 0.5533 0.4407 0.4879
Cl1 0.0172 0.9298 0.9969
Cl2 0.0288 0.5787 0.6573
Cl3 0.0475 0.4465 0.0023
Cl4 0.0553 0.7717 0.3111
Cl5 0.1009 0.3082 0.3296
Cl6 0.2337 0.6251 0.3680
Cl7 0.3449 0.0788 0.9763
Cl8 0.3963 0.2539 0.6350
Cl9 0.5578 0.2769 0.2539
```


No. 3
This entry pairs a crystal structure of Cs5U2S4ICl8 with its calculated PXRD pattern. Radiation: Cu Kα. Structure: a crystal structure in OQMD, relaxed with PBE.
Lines closer than 0.1° are merged.

Principal peaks in the range 2θ = 10–80°, low angle first:
hkl 1 1 0, 2θ = 14.32°, intensity 100; hkl 1 2 1, 2θ = 21.01°, intensity 96; hkl 2 0 0, 2θ = 23.40°, intensity 79; hkl 1 2 3, 2θ = 25.57°, intensity 75; hkl 2 2 2, 2θ = 30.68°, intensity 67; hkl 2 1 5, 2θ = 36.01°, intensity 77

Structure:
```
data_Cs5U2S4ICl8
_cell_length_a 7.6046
_cell_length_b 10.6414
_cell_length_c 17.3803
_cell_angle_alpha 90.00
_cell_angle_beta 90.00
_cell_angle_gamma 90.00
_space_group_name_H-M_alt 'I m m m'
_space_group_IT_number 71
_space_group_name_Hall '-I 2 2'
loop_
_atom_site_label
_atom_site_fract_x
_atom_site_fract_y
_atom_site_fract_z
Cs1 0.0000 0.0000 0.0000
Cs2 0.0000 0.2619 0.3369
U1 0.0000 0.5000 0.1069
S1 0.2390 0.4029 0.0000
I1 0.0000 0.5000 0.5000
Cl1 0.0000 0.2454 0.1371
Cl2 0.2417 0.5000 0.2184
```


No. 4
This entry pairs a crystal structure of CsKPdCl4 with its calculated PXRD pattern. Radiation: Cu Kα. Structure: a crystal structure in OQMD, relaxed with PBE.
Lines closer than 0.1° are merged.

Principal peaks in the range 2θ = 10–80°, low angle first:
hkl 0 1 0, 2θ = 12.59°, intensity 79; hkl 1 0 1, 2θ = 23.55°, intensity 46; hkl 1 1 1, 2θ = 26.79°, intensity 100; hkl 0 2 2, 2θ = 34.72°, intensity 52; hkl 1 1 3, 2θ = 43.21°, intensity 25; hkl 2 2 2, 2θ = 55.20°, intensity 25

Structure:
```
data_CsKPdCl4
_cell_length_a 4.3508
_cell_length_b 7.0309
_cell_length_c 7.6195
_cell_angle_alpha 90.00
_cell_angle_beta 90.00
_cell_angle_gamma 90.00
_space_group_name_H-M_alt 'P m m m'
_space_group_IT_number 47
_space_group_name_Hall '-P 2 2'
loop_
_atom_site_label
_atom_site_fract_x
_atom_site_fract_y
_atom_site_fract_z
Cs1 0.0000 0.0000 0.0000
K1 0.0000 0.5000 0.5000
Pd1 0.5000 0.0000 0.5000
Cl1 0.5000 0.2374 0.2859
```


No. 5
This entry pairs a crystal structure of Cs3Lu2Cl9 with its calculated PXRD pattern. Radiation: Cu Kα. Structure: a crystal structure in OQMD, relaxed with PBE.
Lines closer than 0.1° are merged.

Principal peaks in the range 2θ = 10–80°, low angle first:
hkl 1 1 0, 2θ = 13.60°, intensity 42; hkl 1 1 3, 2θ = 19.90°, intensity 45; hkl 3 0 0, 2θ = 23.67°, intensity 100; hkl 2 2 3, 2θ = 31.12°, intensity 97; hkl 1 1 6, 2θ = 32.30°, intensity 41; hkl 2 2 6, 2θ = 40.44°, intensity 50

Structure:
```
data_Cs3Lu2Cl9
_cell_length_a 13.0197
_cell_length_b 13.0197
_cell_length_c 18.3775
_cell_angle_alpha 90.00
_cell_angle_beta 90.00
_cell_angle_gamma 120.00
_space_group_name_H-M_alt 'R -3 c'
_space_group_IT_number 167
_space_group_name_Hall '-R 3 2"c'
loop_
_atom_site_label
_atom_site_fract_x
_atom_site_fract_y
_atom_site_fract_z
Cs1 0.0000 0.3395 0.2500
Lu1 0.0000 0.0000 0.1504
Cl1 0.0000 0.1513 0.7500
Cl2 0.0054 0.1733 0.4119
```


No. 6
This entry pairs a crystal structure of CsMo3Cl7 with its calculated PXRD pattern. Radiation: Cu Kα. Structure: a crystal structure in OQMD, relaxed with PBE.
Lines closer than 0.1° are merged.

Principal peaks in the range 2θ = 10–80°, low angle first:
hkl 1 0 0, 2θ = 10.38°, intensity 45; hkl 1 0 1, 2θ = 12.04°, intensity 100; hkl 0 0 2, 2θ = 12.21°, intensity 29; hkl 1 0 2, 2θ = 16.05°, intensity 76; hkl 2 2 2, 2θ = 38.61°, intensity 37; hkl 4 -2 4, 2θ = 44.50°, intensity 44

Structure:
```
data_CsMo3Cl7
_cell_length_a 9.8432
_cell_length_b 9.8432
_cell_length_c 14.5014
_cell_angle_alpha 90.00
_cell_angle_beta 90.00
_cell_angle_gamma 120.00
_space_group_name_H-M_alt 'P 3 1 c'
_space_group_IT_number 159
_space_group_name_Hall 'P 3 -2c'
loop_
_atom_site_label
_atom_site_fract_x
_atom_site_fract_y
_atom_site_fract_z
Cs1 0.0000 0.0000 0.0000
Cs2 0.3333 0.6667 0.2347
Mo1 0.1767 0.6615 0.6653
Mo2 0.1801 0.5113 0.8124
Cl1 0.0347 0.3390 0.4010
Cl2 0.0402 0.6651 0.8107
Cl3 0.0426 0.6869 0.0768
Cl4 0.0471 0.3684 0.6671
Cl5 0.3333 0.6667 0.5299
Cl6 0.3333 0.6667 0.9473
```


No. 7
This entry pairs a crystal structure of Cs2MoCl6 with its calculated PXRD pattern. Radiation: Cu Kα. Structure: a crystal structure in OQMD, relaxed with PBE.
Lines closer than 0.1° are merged.

Principal peaks in the range 2θ = 10–80°, low angle first:
hkl 1 0 1, 2θ = 14.70°, intensity 64; hkl 1 1 2, 2θ = 24.06°, intensity 100; hkl 2 0 0, 2θ = 24.21°, intensity 50; hkl 2 0 2, 2θ = 29.64°, intensity 99; hkl 2 2 0, 2θ = 34.51°, intensity 75; hkl 2 2 4, 2θ = 49.27°, intensity 49

Structure:
```
data_Cs2MoCl6
_cell_length_a 7.3517
_cell_length_b 7.3517
_cell_length_c 10.5267
_cell_angle_alpha 90.00
_cell_angle_beta 90.00
_cell_angle_gamma 90.00
_space_group_name_H-M_alt 'I 4/m'
_space_group_IT_number 87
_space_group_name_Hall '-I 4'
loop_
_atom_site_label
_atom_site_fract_x
_atom_site_fract_y
_atom_site_fract_z
Cs1 0.0000 0.5000 0.2500
Mo1 0.0000 0.0000 0.0000
Cl1 0.0000 0.0000 0.2286
Cl2 0.2188 0.2425 0.0000
```


No. 8
This entry pairs a crystal structure of Cs3MoCl6 with its calculated PXRD pattern. Radiation: Cu Kα. Structure: a crystal structure in OQMD, relaxed with PBE.
Lines closer than 0.1° are merged.

Principal peaks in the range 2θ = 10–80°, low angle first:
hkl 2 2 0, 2θ = 22.23°, intensity 100; hkl 4 0 0, 2θ = 31.64°, intensity 52; hkl 4 2 2, 2θ = 39.01°, intensity 42; hkl 4 4 0, 2θ = 45.35°, intensity 34; hkl 6 2 0, 2θ = 51.06°, intensity 26; hkl 6 4 2, 2θ = 61.32°, intensity 27

Structure:
```
data_Cs3MoCl6
_cell_length_a 11.3126
_cell_length_b 11.3126
_cell_length_c 11.3126
_cell_angle_alpha 90.00
_cell_angle_beta 90.00
_cell_angle_gamma 90.00
_space_group_name_H-M_alt 'F m -3 m'
_space_group_IT_number 225
_space_group_name_Hall '-F 4 2 3'
loop_
_atom_site_label
_atom_site_fract_x
_atom_site_fract_y
_atom_site_fract_z
Cs1 0.0000 0.0000 0.0000
Cs2 0.2500 0.2500 0.2500
Mo1 0.0000 0.0000 0.5000
Cl1 0.0000 0.0000 0.2833
```


No. 9
This entry pairs a crystal structure of CsMoCl6 with its calculated PXRD pattern. Radiation: Cu Kα. Structure: a crystal structure in OQMD, relaxed with PBE.
Lines closer than 0.1° are merged.

Principal peaks in the range 2θ = 10–80°, low angle first:
hkl 1 1 1, 2θ = 17.94°, intensity 100; hkl 2 0 -2, 2θ = 18.49°, intensity 61; hkl 1 1 -3, 2θ = 25.73°, intensity 39; hkl 2 2 -1, 2θ = 31.67°, intensity 65; hkl 1 1 -4, 2θ = 32.03°, intensity 49; hkl 3 1 2, 2θ = 32.59°, intensity 48

Structure:
```
data_CsMoCl6
_cell_length_a 12.2141
_cell_length_b 6.4453
_cell_length_c 12.4148
_cell_angle_alpha 90.00
_cell_angle_beta 102.44
_cell_angle_gamma 90.00
_space_group_name_H-M_alt 'C 1 c 1'
_space_group_IT_number 9
_space_group_name_Hall 'C -2yc'
loop_
_atom_site_label
_atom_site_fract_x
_atom_site_fract_y
_atom_site_fract_z
Cs1 0.0000 0.1214 0.0000
Mo1 0.2498 0.2508 0.7503
Cl1 0.0795 0.3773 0.6454
Cl2 0.1563 0.0473 0.2920
Cl3 0.2134 0.4187 0.9070
Cl4 0.2859 0.0829 0.5934
Cl5 0.3429 0.4516 0.2081
Cl6 0.4195 0.1238 0.8551
```


No. 10
This entry pairs a crystal structure of Cs2RbMoCl6 with its calculated PXRD pattern. Radiation: Cu Kα. Structure: a crystal structure in OQMD, relaxed with PBE.
Lines closer than 0.1° are merged.

Principal peaks in the range 2θ = 10–80°, low angle first:
hkl 2 2 0, 2θ = 22.75°, intensity 100; hkl 4 0 0, 2θ = 32.40°, intensity 59; hkl 4 2 2, 2θ = 39.96°, intensity 42; hkl 4 4 0, 2θ = 46.47°, intensity 38; hkl 6 2 0, 2θ = 52.35°, intensity 24; hkl 6 4 2, 2θ = 62.92°, intensity 26

Structure:
```
data_Cs2RbMoCl6
_cell_length_a 11.0539
_cell_length_b 11.0539
_cell_length_c 11.0539
_cell_angle_alpha 90.00
_cell_angle_beta 90.00
_cell_angle_gamma 90.00
_space_group_name_H-M_alt 'F m -3 m'
_space_group_IT_number 225
_space_group_name_Hall '-F 4 2 3'
loop_
_atom_site_label
_atom_site_fract_x
_atom_site_fract_y
_atom_site_fract_z
Cs1 0.2500 0.2500 0.2500
Rb1 0.0000 0.0000 0.0000
Mo1 0.0000 0.0000 0.5000
Cl1 0.0000 0.0000 0.2782
```


No. 11
This entry pairs a crystal structure of CsNbCl6 with its calculated PXRD pattern. Radiation: Cu Kα. Structure: a crystal structure in OQMD, relaxed with PBE.
Lines closer than 0.1° are merged.

Principal peaks in the range 2θ = 10–80°, low angle first:
hkl 1 1 1, 2θ = 17.82°, intensity 100; hkl 2 0 -2, 2θ = 18.41°, intensity 61; hkl 1 1 -3, 2θ = 25.63°, intensity 39; hkl 2 2 -1, 2θ = 31.39°, intensity 69; hkl 1 1 -4, 2θ = 31.94°, intensity 52; hkl 3 1 2, 2θ = 32.43°, intensity 50

Structure:
```
data_CsNbCl6
_cell_length_a 12.2858
_cell_length_b 6.5062
_cell_length_c 12.4277
_cell_angle_alpha 90.00
_cell_angle_beta 102.50
_cell_angle_gamma 90.00
_space_group_name_H-M_alt 'C 1 c 1'
_space_group_IT_number 9
_space_group_name_Hall 'C -2yc'
loop_
_atom_site_label
_atom_site_fract_x
_atom_site_fract_y
_atom_site_fract_z
Cs1 0.0000 0.1217 0.0000
Nb1 0.2494 0.2508 0.7504
Cl1 0.0777 0.3774 0.6431
Cl2 0.1549 0.0478 0.2923
Cl3 0.2135 0.4202 0.9091
Cl4 0.2856 0.0817 0.5917
Cl5 0.3439 0.4510 0.2081
Cl6 0.4211 0.1235 0.8577
```